Starting from the GGA+U geometry in Alexandria, the powder diffraction line list of K2V3O8 was calculated for Cu Kα X-rays.
Kinematic intensities with the Lorentz-polarization factor, no thermal factor.

Crystal structure
Lattice parameters (Å, degrees): 9.024 9.024 5.488 90.00 90.00 90.00
Space group P4bm (No. 100)
Symmetry-distinct sites (fractional):
K1 0.170 0.330 0.000
V1 0.000 0.000 0.459
V2 0.134 0.634 0.467
O1 0.000 0.000 0.758
O2 0.000 0.500 0.347
O3 0.087 0.808 0.353
O4 0.131 0.631 0.770

Peak list (10 most intense, 10° ≤ 2θ ≤ 90°, sorted by position)
hkl 0 0 1, 16.1 deg, I = 368
hkl 2 1 0, 22.0 deg, I = 144
hkl 2 0 1, 25.6 deg, I = 220
hkl 2 1 1, 27.4 deg, I = 1000
hkl 3 1 0, 31.3 deg, I = 323
hkl 0 0 2, 32.6 deg, I = 177
hkl 3 1 2, 45.9 deg, I = 144
hkl 2 1 3, 55.1 deg, I = 109
hkl 5 2 1, 57.5 deg, I = 113
hkl 3 1 4, 77.2 deg, I = 108